The following is a theoretical powder diffraction line list of Rb3HgMo2O8. It was derived from a GGA+U-relaxed structure, using Cu Kα (λ = 1.5418 Å).
Lines closer than 0.1° are merged.

Cell and atoms:
Lattice parameters (Å, degrees): 6.4143 6.4143 8.2551 90.00 90.00 120.00
Space group P-3m1 (No. 164)
One atom of each set of equivalent atoms:
Rb 0.0000 0.0000 0.0000 x1
Rb 0.3333 0.6667 0.6626 x2
Hg 0.0000 0.0000 0.5000 x1
Mo 0.3333 0.6667 0.2078 x2
O 0.1810 0.3619 0.2849 x6
O 0.3333 0.6667 0.9921 x2

Largest 10 diffraction maxima, low angle first, 2θ = 5–70°:
2θ/deg	intensity	h k l
19.26	20	1 0 1
26.91	95	0 1 2
27.82	100	1 1 0
39.09	47	2 0 2
46.97	15	1 0 4
48.66	35	1 2 2
49.21	20	3 0 0
57.47	17	2 2 0
63.17	14	2 1 4
64.57	17	3 1 2